No. 1
This entry pairs a crystal structure of Li3Fe2P2O10 with its calculated PXRD pattern. Radiation: copper Kα. Structure: a crystal structure in the Materials Project, relaxed with PBE+U.
Neutral-atom scattering factors, no anomalous dispersion.

Most intense lines, 2θ from 10° to 90°, most intense first:
two_theta  I/Imax
27.70  1000
20.44  679
34.67  653
24.71  365
43.98  266
47.22  210
57.21  201
44.68  134
60.64  129
61.42  116

Structural model:
Unit cell a=9.1654 b=9.0528 c=8.6912 alpha=90.00 beta=90.00 gamma=90.00
Space group Cmce (No. 64)
Asymmetric unit:
Li1 0.0000 0.0000 0.0000
Li2 0.2500 0.2500 0.0000
Fe1 0.0000 0.2426 0.2975
P1 0.2500 0.0027 0.2500
O1 0.0000 0.2261 0.0957
O2 0.1511 0.0962 0.8520
O3 0.1572 0.1017 0.3573

No. 2
This entry pairs a crystal structure of Li5Fe6P5O24 with its calculated PXRD pattern. Radiation: copper Kα. Structure: a crystal structure in the Materials Project, relaxed with PBE+U.
Neutral-atom scattering factors, no anomalous dispersion.

Most intense lines, 2θ from 10° to 90°, most intense first:
two_theta  I/Imax
18.60  1000
31.56  677
33.23  618
32.74  595
33.45  576
29.69  270
14.40  214
53.48  212
37.70  205
53.86  197

Structural model:
Unit cell a=6.5036 b=6.8583 c=10.5174 alpha=106.91 beta=107.58 gamma=90.18
Space group P1 (No. 1)
Asymmetric unit:
Li1 0.0000 0.0000 0.0000
Li2 0.0052 0.4599 0.9592
Li3 0.2613 0.7384 0.5189
Li4 0.7301 0.2225 0.4656
Li5 0.7774 0.7551 0.5041
Fe1 0.0592 0.1084 0.7277
Fe2 0.1348 0.6143 0.7271
Fe3 0.3704 0.3442 0.2404
Fe4 0.4783 0.4798 0.9413
Fe5 0.6305 0.0883 0.7279
Fe6 0.8758 0.8845 0.2379
P1 0.2423 0.2293 0.4851
P2 0.3720 0.7447 0.2338
P3 0.4967 0.9976 0.9928
P4 0.7251 0.6140 0.7396
P5 0.8658 0.4722 0.2311
O1 0.0068 0.1267 0.3953
O2 0.0484 0.3416 0.2042
O3 0.1133 0.8359 0.6603
O4 0.1606 0.8476 0.1994
O5 0.1975 0.3915 0.8123
O6 0.2195 0.4537 0.5593
O7 0.3346 0.1014 0.5856
O8 0.3403 0.5401 0.1050
O9 0.3449 0.0958 0.0776
O10 0.3960 0.2334 0.3966
O11 0.4013 0.7686 0.9136
O12 0.4073 0.6556 0.3593
O13 0.4922 0.1335 0.8946
O14 0.5766 0.8813 0.2592
O15 0.5789 0.7771 0.6980
O16 0.6169 0.4532 0.7866
O17 0.6926 0.3634 0.2658
O18 0.7374 0.9861 0.0746
O19 0.7687 0.5453 0.0954
O20 0.7748 0.0602 0.5905
O21 0.8036 0.5034 0.6128
O22 0.9139 0.1557 0.8683
O23 0.9377 0.7097 0.8629
O24 0.9498 0.6811 0.3506

No. 3
This entry pairs a crystal structure of LiFePO4 with its calculated PXRD pattern. Radiation: copper Kα. Structure: a crystal structure in the Materials Project, relaxed with PBE+U.
Neutral-atom scattering factors, no anomalous dispersion.

Most intense lines, 2θ from 10° to 90°, most intense first:
two_theta  I/Imax
29.55  1000
29.04  360
34.95  211
19.09  201
19.30  197
18.12  190
21.22  133
27.16  126
35.68  109
36.86  105

Structural model:
Unit cell a=5.3111 b=5.4340 c=6.5053 alpha=104.47 beta=105.02 gamma=102.42
Space group P-1 (No. 2)
Asymmetric unit:
Li1 0.2155 0.4131 0.2431
Fe1 0.5000 0.0000 0.0000
Fe2 0.5000 0.0000 0.5000
P1 0.1760 0.3516 0.7546
O1 0.1257 0.7604 0.4031
O2 0.2077 0.6482 0.8734
O3 0.2268 0.2042 0.9300
O4 0.3777 0.3303 0.6180

No. 4
This entry pairs a crystal structure of LiFeP2O7 with its calculated PXRD pattern. Radiation: copper Kα. Structure: a crystal structure in the Materials Project, relaxed with PBE+U.
Neutral-atom scattering factors, no anomalous dispersion.

Most intense lines, 2θ from 10° to 90°, most intense first:
two_theta  I/Imax
18.70  1000
17.50  588
27.53  578
14.09  544
29.87  513
32.86  466
33.64  239
23.70  223
28.39  211
28.88  209

Structural model:
Unit cell a=6.2787 b=6.7080 c=7.0864 alpha=75.44 beta=65.09 gamma=81.04
Space group P-1 (No. 2)
Asymmetric unit:
Li1 0.0623 0.1729 0.3140
Fe1 0.2578 0.3121 0.5989
P1 0.2257 0.6771 0.2585
P2 0.3649 0.8664 0.8006
O1 0.0541 0.5270 0.2676
O2 0.0633 0.8540 0.3547
O3 0.1870 0.7588 0.7808
O4 0.3010 0.0967 0.8168
O5 0.3796 0.1545 0.3673
O6 0.3853 0.5689 0.3756
O7 0.4023 0.7568 0.0199

No. 5
This entry pairs a crystal structure of LiFeP2O7 with its calculated PXRD pattern. Radiation: copper Kα. Structure: a crystal structure in the Materials Project, relaxed with PBE+U.
Neutral-atom scattering factors, no anomalous dispersion.

Most intense lines, 2θ from 10° to 90°, most intense first:
two_theta  I/Imax
29.45  1000
17.41  851
28.66  447
14.61  299
29.04  255
23.08  251
35.24  168
43.13  155
41.98  133
54.01  121

Structural model:
Unit cell a=6.8102 b=8.2062 c=9.4364 alpha=90.00 beta=107.50 gamma=90.00
Space group P2_1/c (No. 14)
Asymmetric unit:
Li1 0.2180 0.1076 0.0466
Fe1 0.2813 0.7234 0.9967
P1 0.0545 0.5325 0.2119
P2 0.4619 0.0865 0.7049
O1 0.0714 0.6723 0.1090
O2 0.0892 0.5845 0.3757
O3 0.1453 0.5627 0.8446
O4 0.2298 0.1052 0.7167
O5 0.3941 0.5876 0.6341
O6 0.4729 0.5781 0.1337
O7 0.4845 0.2332 0.6097